# 1
Computed powder diffractogram of MnSiNi for Cu Kα, 1.54184 Å, from a DFT-relaxed cell (PBE, the Materials Project).
Kinematic intensities with the Lorentz-polarization factor, no thermal factor.

The 10 most intense peaks (2θ = 5–70°), most intense first:
2θ/deg  Rel. int.
44.7  100
45.5  98
65.7  30
31.5  14
25.4  11
55.7  2
52.1  2
63.4  1
59.4  1
37.1  1

```
MnSiNi
1.0
4.0564 0.0000 0.0000
-2.0282 3.5130 0.0000
0.0000 0.0000 4.8442
Mn Si Ni
2 2 2
direct
0.3333 0.6667 0.2500
0.6667 0.3333 0.7500
0.3333 0.6667 0.7500
0.6667 0.3333 0.2500
0.0000 0.0000 0.0000
0.0000 0.0000 0.5000
```


# 2
Computed powder diffractogram of Mn5Ni8Sn3 for Cu Kα, 1.54184 Å, from a DFT-relaxed cell (PBE, the Materials Project).
Kinematic intensities with the Lorentz-polarization factor, no thermal factor.

The 12 most intense peaks (2θ = 5–70°), most intense first:
2θ/deg  Rel. int.
42.8  100
62.2  16
25.8  7
50.7  4
6.4  2
68.5  2
29.9  1
37.5  1
32.7  1
24.4  1
24.7  1
26.7  1

```
Mn5Ni8Sn3
1.0
2.1106 1.2185 13.7894
-2.1106 1.2185 13.7894
0.0000 -2.4371 13.7894
Mn Ni Sn
5 8 3
direct
0.0000 0.0000 0.0000
0.1245 0.1245 0.1245
0.3736 0.3736 0.3736
0.6264 0.6264 0.6264
0.8755 0.8755 0.8755
0.0600 0.0600 0.0600
0.1873 0.1873 0.1873
0.3145 0.3145 0.3145
0.4373 0.4373 0.4373
0.5627 0.5627 0.5627
0.6855 0.6855 0.6855
0.8127 0.8127 0.8127
0.9400 0.9400 0.9400
0.2508 0.2508 0.2508
0.5000 0.5000 0.5000
0.7492 0.7492 0.7492
```